Diffraction record for Tb4Sm8Ho3. The X-ray powder pattern is simulated, not measured: it uses a DFT-relaxed cell (GGA-PBE, Alexandria) and a wavelength of 1.5418 Å.
No peak broadening, texture or thermal motion is included.

The 10 most intense peaks (2θ from 10° to 90°), in order of rising 2θ:
2θ (°)  d_spacing  I (rel.)
26.0  3.428  15
29.5  3.026  100
29.9  2.984  25
30.4  2.943  12
33.1  2.705  22
33.9  2.648  21
39.7  2.271  9
42.2  2.140  35
53.5  1.714  13
62.2  1.492  12

Structure:
Cell lengths 9.153, 9.153, 6.861 Å; angles 110.75, 110.75, 82.96 degrees
Atoms (fractional coordinates):
Tb 0.000 0.000 0.000
Tb 0.000 0.000 0.500
Tb 0.000 0.500 0.000
Tb 0.500 0.000 0.000
Sm 0.246 0.246 0.286
Sm 0.248 0.752 0.500
Sm 0.297 0.703 0.000
Sm 0.298 0.298 0.825
Sm 0.702 0.702 0.175
Sm 0.703 0.297 0.000
Sm 0.752 0.248 0.500
Sm 0.754 0.754 0.714
Ho 0.000 0.500 0.500
Ho 0.500 0.000 0.500
Ho 0.500 0.500 0.500



Diffraction record for Tb8Sm2Ho3. The X-ray powder pattern is simulated, not measured: it uses a DFT-relaxed cell (GGA-PBE, Alexandria) and a wavelength of 1.5418 Å.
No peak broadening, texture or thermal motion is included.

The 10 most intense peaks (2θ from 10° to 90°), in order of rising 2θ:
2θ (°)  d_spacing  I (rel.)
29.0  3.074  67
31.1  2.879  79
31.8  2.814  100
32.2  2.781  76
33.0  2.717  33
33.4  2.684  77
35.1  2.556  36
35.5  2.532  33
41.6  2.170  26
60.7  1.526  31

Structure:
Cell lengths 8.702, 8.702, 6.832 Å; angles 105.66, 105.66, 63.46 degrees
Atoms (fractional coordinates):
Tb 0.064 0.700 0.322
Tb 0.083 0.083 0.225
Tb 0.300 0.936 0.678
Tb 0.311 0.311 0.611
Tb 0.689 0.689 0.389
Tb 0.700 0.064 0.322
Tb 0.917 0.917 0.775
Tb 0.936 0.300 0.678
Sm 0.286 0.286 0.082
Sm 0.714 0.714 0.918
Ho 0.328 0.672 0.000
Ho 0.500 0.500 0.500
Ho 0.672 0.328 0.000



Diffraction record for Tb4Sm6Ho. The X-ray powder pattern is simulated, not measured: it uses a DFT-relaxed cell (GGA-PBE, Alexandria) and a wavelength of 1.5418 Å.
No peak broadening, texture or thermal motion is included.

The 10 most intense peaks (2θ from 10° to 90°), in order of rising 2θ:
2θ (°)  d_spacing  I (rel.)
27.8  3.204  12
30.2  2.957  47
30.6  2.922  100
31.7  2.819  54
31.9  2.802  45
33.2  2.700  45
43.8  2.066  32
56.1  1.641  18
63.6  1.462  14
72.3  1.307  12

Structure:
Cell lengths 5.643, 5.643, 25.666 Å; angles 90.00, 90.00, 117.59 degrees
Atoms (fractional coordinates):
Tb 0.049 0.951 0.623
Tb 0.049 0.951 0.877
Tb 0.353 0.647 0.544
Tb 0.353 0.647 0.956
Tb 0.647 0.353 0.044
Tb 0.647 0.353 0.456
Tb 0.951 0.049 0.123
Tb 0.951 0.049 0.377
Sm 0.000 0.000 0.000
Sm 0.000 0.000 0.500
Sm 0.054 0.946 0.750
Sm 0.295 0.705 0.104
Sm 0.295 0.705 0.396
Sm 0.381 0.619 0.682
Sm 0.381 0.619 0.818
Sm 0.619 0.381 0.182
Sm 0.619 0.381 0.318
Sm 0.705 0.295 0.604
Sm 0.705 0.295 0.896
Sm 0.946 0.054 0.250
Ho 0.284 0.716 0.250
Ho 0.716 0.284 0.750



Diffraction record for TbSm6Ho6. The X-ray powder pattern is simulated, not measured: it uses a DFT-relaxed cell (GGA-PBE, Alexandria) and a wavelength of 1.5418 Å.
No peak broadening, texture or thermal motion is included.

The 10 most intense peaks (2θ from 10° to 90°), in order of rising 2θ:
2θ (°)  d_spacing  I (rel.)
26.6  3.350  35
28.1  3.174  26
30.8  2.901  58
31.0  2.886  84
31.5  2.843  33
34.7  2.584  100
35.1  2.553  30
54.8  1.675  37
55.7  1.650  31
64.6  1.443  25

Structure:
Cell lengths 6.700, 6.700, 11.373 Å; angles 90.00, 90.00, 120.00 degrees
Atoms (fractional coordinates):
Tb 0.000 0.000 0.000
Sm 0.000 0.000 0.344
Sm 0.000 0.000 0.656
Sm 0.333 0.667 0.000
Sm 0.333 0.667 0.500
Sm 0.667 0.333 0.000
Sm 0.667 0.333 0.500
Ho 0.000 0.500 0.245
Ho 0.000 0.500 0.755
Ho 0.500 0.000 0.245
Ho 0.500 0.000 0.755
Ho 0.500 0.500 0.245
Ho 0.500 0.500 0.755